Computed powder diffraction line list of Np2SbS4 for Cu Kα X-rays, from the GGA-PBE geometry in Alexandria.
Intensities are scaled so that the largest is 100.

```
data_Np2SbS4
_chemical_formula_sum 'Np4 Sb2 S8'
_space_group_name_H-M_alt 'P 1'
_space_group_IT_number 1
_cell_length_a 5.9640
_cell_length_b 5.9640
_cell_length_c 12.7997
_cell_angle_alpha 90.00
_cell_angle_beta 90.00
_cell_angle_gamma 90.00
loop_
_space_group_symop_operation_xyz
'x,y,z'
loop_
_atom_site_label
_atom_site_type_symbol
_atom_site_fract_x
_atom_site_fract_y
_atom_site_fract_z
Np1 Np 0.0000 0.5000 0.2500
Np2 Np 0.0000 0.5000 0.7500
Np3 Np 0.5000 0.0000 0.2500
Np4 Np 0.5000 0.0000 0.7500
Sb1 Sb 0.0000 0.0000 0.0000
Sb2 Sb 0.5000 0.5000 0.5000
S1 S 0.2396 0.2396 0.6241
S2 S 0.2396 0.7604 0.3759
S3 S 0.2604 0.2604 0.1241
S4 S 0.2604 0.7396 0.8759
S5 S 0.7396 0.2604 0.8759
S6 S 0.7396 0.7396 0.1241
S7 S 0.7604 0.2396 0.3759
S8 S 0.7604 0.7604 0.6241
```

Most intense lines, 2θ = 5–70°, by angle:
h k l, 2θ (°), I (rel.)
0 0 2, 13.84, 31
1 1 0, 21.07, 24
1 1 2, 25.29, 100
2 0 0, 29.97, 18
2 0 2, 33.14, 16
1 1 4, 35.21, 14
2 0 4, 41.39, 39
2 2 0, 42.89, 17
1 1 6, 47.78, 18
3 1 2, 50.45, 31